[1]
This entry pairs a crystal structure of K2Mn2Se3 with its simulated XRD peak list. Radiation: Cu Kα (weighted mean of Kα1 and Kα2). Structure: DFT lattice parameters and positions (PBE).
Intensities are scaled so that the largest is 100.

Cell and atoms:
Cell: 11.174 11.174 7.223 Å, 108.26 108.26 84.21°
Element x y z (fractional)
K 0.065 0.935 0.750
K 0.214 0.786 0.250
K 0.307 0.487 0.427
K 0.487 0.307 0.927
K 0.513 0.693 0.073
K 0.693 0.513 0.573
K 0.786 0.214 0.750
K 0.935 0.065 0.250
Mn 0.041 0.577 0.742
Mn 0.147 0.297 0.799
Mn 0.297 0.147 0.299
Mn 0.423 0.959 0.758
Mn 0.577 0.041 0.242
Mn 0.703 0.853 0.701
Mn 0.853 0.703 0.201
Mn 0.959 0.423 0.258
Se 0.058 0.647 0.442
Se 0.092 0.242 0.086
Se 0.242 0.092 0.586
Se 0.257 0.508 0.923
Se 0.353 0.942 0.058
Se 0.492 0.743 0.577
Se 0.508 0.257 0.423
Se 0.647 0.058 0.942
Se 0.743 0.492 0.077
Se 0.758 0.908 0.414
Se 0.908 0.758 0.914
Se 0.942 0.353 0.558

Main lines, by intensity (2θ = 5–70°):
Position (°2θ)	I/Imax
24.61	100
32.21	96
11.78	96
30.35	90
27.56	79
24.65	77
41.65	68
23.69	36

[2]
This entry pairs a crystal structure of K2MnSn2Se6 with its simulated XRD peak list. Radiation: Cu Kα (weighted mean of Kα1 and Kα2). Structure: DFT lattice parameters and positions (PBE).
Intensities are scaled so that the largest is 100.

Cell and atoms:
Cell: 8.430 8.430 19.908 Å, 90.00 90.00 90.00°
Element x y z (fractional)
K 0.250 0.250 0.031
K 0.250 0.250 0.322
K 0.250 0.250 0.531
K 0.250 0.250 0.822
K 0.750 0.750 0.178
K 0.750 0.750 0.469
K 0.750 0.750 0.678
K 0.750 0.750 0.969
Mn 0.250 0.750 0.000
Mn 0.250 0.750 0.500
Mn 0.750 0.250 0.000
Mn 0.750 0.250 0.500
Sn 0.250 0.750 0.162
Sn 0.250 0.750 0.338
Sn 0.250 0.750 0.662
Sn 0.250 0.750 0.838
Sn 0.750 0.250 0.162
Sn 0.750 0.250 0.338
Sn 0.750 0.250 0.662
Sn 0.750 0.250 0.838
Se 0.071 0.596 0.082
Se 0.071 0.904 0.582
Se 0.087 0.587 0.750
Se 0.087 0.913 0.250
Se 0.096 0.571 0.418
Se 0.096 0.929 0.918
Se 0.404 0.571 0.918
Se 0.404 0.929 0.418
Se 0.413 0.587 0.250
Se 0.413 0.913 0.750
Se 0.429 0.596 0.582
Se 0.429 0.904 0.082
Se 0.571 0.096 0.918
Se 0.571 0.404 0.418
Se 0.587 0.087 0.250
Se 0.587 0.413 0.750
Se 0.596 0.071 0.582
Se 0.596 0.429 0.082
Se 0.904 0.071 0.082
Se 0.904 0.429 0.582
Se 0.913 0.087 0.750
Se 0.913 0.413 0.250
Se 0.929 0.096 0.418
Se 0.929 0.404 0.918

Main lines, by intensity (2θ = 5–70°):
Position (°2θ)	I/Imax
27.20	100
14.86	91
34.40	70
43.55	50
29.98	36
51.36	23
45.66	22
47.66	21

[3]
This entry pairs a crystal structure of KMnSn2Se6 with its simulated XRD peak list. Radiation: Cu Kα (weighted mean of Kα1 and Kα2). Structure: DFT lattice parameters and positions (PBE).
Intensities are scaled so that the largest is 100.

Cell and atoms:
Cell: 9.844 9.844 6.778 Å, 102.15 102.15 87.99°
Element x y z (fractional)
K 0.120 0.880 0.750
K 0.880 0.120 0.250
Mn 0.262 0.738 0.250
Mn 0.738 0.262 0.750
Sn 0.202 0.364 0.777
Sn 0.364 0.202 0.277
Sn 0.636 0.798 0.723
Sn 0.798 0.636 0.223
Se 0.008 0.765 0.174
Se 0.169 0.375 0.386
Se 0.235 0.992 0.326
Se 0.329 0.597 0.957
Se 0.375 0.169 0.886
Se 0.403 0.671 0.543
Se 0.597 0.329 0.457
Se 0.625 0.831 0.114
Se 0.671 0.403 0.043
Se 0.765 0.008 0.674
Se 0.831 0.625 0.614
Se 0.992 0.235 0.826

Main lines, by intensity (2θ = 5–70°):
Position (°2θ)	I/Imax
26.07	100
27.15	94
18.44	79
18.87	79
33.71	70
49.72	65
26.32	37
42.50	33

[4]
This entry pairs a crystal structure of K2TaMnSe5 with its simulated XRD peak list. Radiation: Cu Kα (weighted mean of Kα1 and Kα2). Structure: DFT lattice parameters and positions (PBE).
Intensities are scaled so that the largest is 100.

Cell and atoms:
Cell: 10.190 10.190 13.796 Å, 90.00 90.00 158.45°
Element x y z (fractional)
K 0.114 0.886 0.500
K 0.125 0.875 0.873
K 0.875 0.125 0.373
K 0.886 0.114 0.000
Ta 0.211 0.789 0.219
Ta 0.789 0.211 0.719
Mn 0.426 0.574 0.629
Mn 0.574 0.426 0.129
Se 0.071 0.929 0.238
Se 0.291 0.709 0.847
Se 0.307 0.693 0.584
Se 0.329 0.671 0.185
Se 0.482 0.518 0.484
Se 0.518 0.482 0.984
Se 0.671 0.329 0.685
Se 0.693 0.307 0.084
Se 0.709 0.291 0.347
Se 0.929 0.071 0.738

Main lines, by intensity (2θ = 5–70°):
Position (°2θ)	I/Imax
30.80	100
10.92	70
8.83	59
47.72	59
15.60	58
12.83	48
27.50	45
40.62	24

[5]
This entry pairs a crystal structure of K3Mn3WSe8 with its simulated XRD peak list. Radiation: Cu Kα (weighted mean of Kα1 and Kα2). Structure: DFT lattice parameters and positions (PBE).
Intensities are scaled so that the largest is 100.

Cell and atoms:
Cell: 7.670 7.670 8.891 Å, 115.57 115.57 60.09°
Element x y z (fractional)
K 0.000 0.000 0.000
K 0.000 0.500 0.000
K 0.500 0.000 0.000
Mn 0.000 0.500 0.500
Mn 0.500 0.000 0.500
Mn 0.500 0.500 0.500
W 0.000 0.000 0.500
Se 0.223 0.737 0.684
Se 0.224 0.224 0.684
Se 0.263 0.777 0.316
Se 0.276 0.276 0.327
Se 0.724 0.724 0.673
Se 0.737 0.223 0.684
Se 0.776 0.776 0.316
Se 0.777 0.263 0.316

Main lines, by intensity (2θ = 5–70°):
Position (°2θ)	I/Imax
31.04	100
11.48	84
38.43	32
47.41	24
41.40	24
13.87	21
51.44	17
57.74	16

[6]
This entry pairs a crystal structure of KMnSnTe3 with its simulated XRD peak list. Radiation: Cu Kα (weighted mean of Kα1 and Kα2). Structure: DFT lattice parameters and positions (PBE).
Intensities are scaled so that the largest is 100.

Cell and atoms:
Cell: 10.046 4.341 10.383 Å, 90.00 106.11 90.00°
Element x y z (fractional)
K 0.193 0.250 0.235
K 0.807 0.750 0.765
Mn 0.076 0.250 0.605
Mn 0.924 0.750 0.395
Sn 0.342 0.750 0.874
Sn 0.658 0.250 0.126
Te 0.119 0.250 0.870
Te 0.204 0.750 0.527
Te 0.458 0.750 0.170
Te 0.542 0.250 0.830
Te 0.796 0.250 0.473
Te 0.881 0.750 0.130

Main lines, by intensity (2θ = 5–70°):
Position (°2θ)	I/Imax
10.84	100
27.42	93
27.65	52
41.45	45
26.81	44
42.85	35
41.60	32
35.80	28

[7]
This entry pairs a crystal structure of KMn5Te8 with its simulated XRD peak list. Radiation: Cu Kα (weighted mean of Kα1 and Kα2). Structure: DFT lattice parameters and positions (PBE).
Intensities are scaled so that the largest is 100.

Cell and atoms:
Cell: 10.481 10.481 9.495 Å, 105.41 105.41 21.98°
Element x y z (fractional)
K 0.000 0.000 0.000
Mn 0.160 0.160 0.502
Mn 0.203 0.203 0.832
Mn 0.500 0.500 0.500
Mn 0.796 0.796 0.167
Mn 0.840 0.840 0.498
Te 0.069 0.069 0.673
Te 0.256 0.256 0.338
Te 0.333 0.333 0.006
Te 0.411 0.411 0.667
Te 0.588 0.588 0.333
Te 0.667 0.667 0.994
Te 0.743 0.743 0.662
Te 0.931 0.931 0.327

Main lines, by intensity (2θ = 5–70°):
Position (°2θ)	I/Imax
29.15	100
30.38	62
45.73	57
28.75	46
29.31	30
31.20	28
45.40	28
9.68	27

[8]
This entry pairs a crystal structure of K6MnTe4 with its simulated XRD peak list. Radiation: Cu Kα (weighted mean of Kα1 and Kα2). Structure: DFT lattice parameters and positions (PBE).
Intensities are scaled so that the largest is 100.

Cell and atoms:
Cell: 10.993 10.993 8.490 Å, 90.00 90.00 120.00°
Element x y z (fractional)
K 0.052 0.526 0.000
K 0.148 0.295 0.681
K 0.148 0.852 0.681
K 0.295 0.148 0.181
K 0.474 0.526 0.000
K 0.474 0.948 0.000
K 0.526 0.052 0.500
K 0.526 0.474 0.500
K 0.705 0.852 0.681
K 0.852 0.148 0.181
K 0.852 0.705 0.181
K 0.948 0.474 0.500
Mn 0.333 0.667 0.385
Mn 0.667 0.333 0.885
Te 0.195 0.389 0.283
Te 0.195 0.805 0.283
Te 0.333 0.667 0.712
Te 0.389 0.195 0.783
Te 0.611 0.805 0.283
Te 0.667 0.333 0.212
Te 0.805 0.195 0.783
Te 0.805 0.611 0.783

Main lines, by intensity (2θ = 5–70°):
Position (°2θ)	I/Imax
32.59	100
28.17	76
21.40	76
30.06	44
9.29	43
26.91	40
36.95	37
18.64	34

[9]
This entry pairs a crystal structure of KMnTe3 with its simulated XRD peak list. Radiation: Cu Kα (weighted mean of Kα1 and Kα2). Structure: DFT lattice parameters and positions (PBE).
Intensities are scaled so that the largest is 100.

Cell and atoms:
Cell: 6.687 6.688 8.684 Å, 68.86 68.79 73.21°
Element x y z (fractional)
K 0.000 0.000 0.000
K 0.218 0.215 0.299
Mn 0.612 0.615 0.135
Mn 0.811 0.813 0.638
Te 0.014 0.543 0.889
Te 0.192 0.680 0.394
Te 0.518 0.521 0.887
Te 0.542 0.017 0.888
Te 0.682 0.191 0.393
Te 0.688 0.686 0.399

Main lines, by intensity (2θ = 5–70°):
Position (°2θ)	I/Imax
34.41	100
22.94	96
28.05	93
14.45	78
38.56	58
29.13	44
33.81	41
31.57	38

[10]
This entry pairs a crystal structure of K4Th3MnTe8 with its simulated XRD peak list. Radiation: Cu Kα (weighted mean of Kα1 and Kα2). Structure: DFT lattice parameters and positions (PBE).
Intensities are scaled so that the largest is 100.

Cell and atoms:
Cell: 9.817 9.817 9.817 Å, 54.33 54.33 54.33°
Element x y z (fractional)
K 0.000 0.000 0.000
K 0.000 0.500 0.500
K 0.500 0.000 0.500
K 0.500 0.500 0.000
Th 0.000 0.000 0.500
Th 0.000 0.500 0.000
Th 0.500 0.000 0.000
Mn 0.500 0.500 0.500
Te 0.241 0.241 0.241
Te 0.250 0.729 0.729
Te 0.271 0.271 0.750
Te 0.271 0.750 0.271
Te 0.729 0.250 0.729
Te 0.729 0.729 0.250
Te 0.750 0.271 0.271
Te 0.759 0.759 0.759

Main lines, by intensity (2θ = 5–70°):
Position (°2θ)	I/Imax
27.03	100
10.61	51
36.91	37
40.24	36
34.10	19
49.15	19
65.33	16
60.66	13

[11]
This entry pairs a crystal structure of K2YMnTe4 with its simulated XRD peak list. Radiation: Cu Kα (weighted mean of Kα1 and Kα2). Structure: DFT lattice parameters and positions (PBE).
Intensities are scaled so that the largest is 100.

Cell and atoms:
Cell: 9.044 9.044 9.178 Å, 119.51 119.51 89.87°
Element x y z (fractional)
K 0.000 0.000 0.000
K 0.000 0.000 0.500
K 0.000 0.500 0.000
K 0.500 0.000 0.500
Y 0.000 0.500 0.500
Y 0.500 0.000 0.000
Mn 0.500 0.500 0.000
Mn 0.500 0.500 0.500
Te 0.275 0.719 0.975
Te 0.280 0.302 0.521
Te 0.281 0.725 0.525
Te 0.302 0.280 0.021
Te 0.698 0.720 0.979
Te 0.719 0.275 0.475
Te 0.720 0.698 0.479
Te 0.725 0.281 0.025

Main lines, by intensity (2θ = 5–70°):
Position (°2θ)	I/Imax
27.90	100
27.05	63
39.25	54
11.86	42
23.86	34
48.85	31
39.87	30
36.46	21